# 1
The following is a simulated X-ray powder pattern of BaCuBiSe2. It was derived from a crystal structure in Alexandria, relaxed with GGA-PBE, using Cu Kα (weighted mean of Kα1 and Kα2).

The 10 most intense peaks (2θ from 10° to 90°), in order of rising 2θ:
2θ (°), I_rel
15.35, 33
21.78, 45
23.91, 85
30.99, 100
36.93, 31
39.51, 47
44.39, 37
48.95, 56
59.08, 39
85.08, 29

Structure:
```
data_BaCuBiSe2
_chemical_formula_sum 'Ba1 Cu1 Bi1 Se2'
_symmetry_space_group_name_H-M 'P 4/m m m'
_symmetry_Int_Tables_number 123
_symmetry_space_group_name_Hall '-P 4 2'
_cell_length_a 5.772
_cell_length_b 5.772
_cell_length_c 4.869
_cell_angle_alpha 90.00
_cell_angle_beta 90.00
_cell_angle_gamma 90.00
loop_
_atom_site_label
_atom_site_type_symbol
_atom_site_fract_x
_atom_site_fract_y
_atom_site_fract_z
_atom_site_occupancy
Ba1 Ba 0.000 0.000 0.000 1
Cu1 Cu 0.500 0.500 0.000 1
Bi1 Bi 0.500 0.500 0.500 1
Se1 Se 0.000 0.500 0.500 1
```

---

# 2
The following is a simulated X-ray powder pattern of CaTl2CdBi2. It was derived from a crystal structure in Alexandria, relaxed with GGA-PBE, using Cu Kα (weighted mean of Kα1 and Kα2).

The 10 most intense peaks (2θ from 10° to 90°), in order of rising 2θ:
2θ (°), I_rel
27.67, 66
28.53, 27
29.24, 36
30.54, 100
31.96, 67
36.73, 55
38.77, 30
39.59, 41
53.56, 24
54.47, 23

Structure:
```
data_CaTl2CdBi2
_chemical_formula_sum 'Ca2 Tl4 Cd2 Bi4'
_symmetry_space_group_name_H-M 'P m c 21'
_symmetry_Int_Tables_number 26
_symmetry_space_group_name_Hall 'P 2c -2'
_cell_length_a 4.893
_cell_length_b 10.243
_cell_length_c 7.818
_cell_angle_alpha 90.00
_cell_angle_beta 90.00
_cell_angle_gamma 90.00
loop_
_atom_site_label
_atom_site_type_symbol
_atom_site_fract_x
_atom_site_fract_y
_atom_site_fract_z
_atom_site_occupancy
Ca1 Ca 0.000 0.044 0.000 1
Tl1 Tl 0.000 0.341 0.358 1
Tl2 Tl 0.500 0.408 0.049 1
Cd1 Cd 0.500 0.170 0.670 1
Bi1 Bi 0.000 0.320 0.774 1
Bi2 Bi 0.500 0.117 0.277 1
```